(1)
# CaZr2IrO8
Simulated XRD peak list, Cu Kα X-rays. Input: a PBE-relaxed structure.

Main lines, low angle first (2θ from 10° to 90°):
2theta, d (Å), intensity, h k l
13.4, 6.617, 36, 0 1 0
22.6, 3.935, 47, 0 1 1
25.6, 3.482, 63, 1 0 -1
25.9, 3.441, 60, 1 0 1
32.7, 2.741, 100, 1 2 0
36.7, 2.448, 25, 0 0 2
49.8, 1.832, 42, 2 2 -1
50.1, 1.820, 40, 2 2 1
52.6, 1.741, 11, 2 0 -2
63.6, 1.463, 25, 0 2 3

Structure:
a = 4.893 Å, b = 6.617 Å, c = 4.898 Å
α = 90.00°, β = 90.68°, γ = 90.00°
Space group P2/m (No. 10)
Unique sites:
Ca  0.000  0.000  0.000 [1 per cell]
Zr  0.500  0.245  0.500 [2 per cell]
Ir  0.000  0.500  0.000 [1 per cell]
O  0.199  0.292  0.198 [4 per cell]
O  0.285  0.500  0.714 [2 per cell]
O  0.317  0.000  0.681 [2 per cell]

(2)
# CaP2Ir
Simulated XRD peak list, Cu Kα X-rays. Input: a PBE-relaxed structure.

Main lines, low angle first (2θ from 10° to 90°):
2theta, d (Å), intensity, h k l
16.0, 5.541, 100, 0 0 2
21.3, 4.180, 37, 1 0 0
25.1, 3.553, 100, 0 1 1
26.7, 3.337, 96, 1 0 2
33.1, 2.707, 46, 1 1 1
34.1, 2.632, 48, 0 1 3
40.5, 2.227, 74, 1 1 3
50.7, 1.802, 30, 2 1 1
52.7, 1.736, 26, 1 1 5
56.2, 1.636, 47, 1 2 2

Structure:
a = 4.180 Å, b = 3.751 Å, c = 11.082 Å
α = 90.00°, β = 90.00°, γ = 90.00°
Space group Amm2 (No. 38)
Unique sites:
Ca  0.000  0.000  0.000 [2 per cell]
P  0.000  0.000  0.706 [2 per cell]
P  0.500  0.000  0.404 [2 per cell]
Ir  0.500  0.000  0.783 [2 per cell]

(3)
# Ca5P12Ir19
Simulated XRD peak list, Cu Kα X-rays. Input: a PBE-relaxed structure.

Main lines, low angle first (2θ from 10° to 90°):
2theta, d (Å), intensity, h k l
14.0, 6.341, 22, 1 1 0
21.4, 4.151, 20, 2 1 0
28.1, 3.170, 18, 2 2 0
31.1, 2.879, 24, 2 1 1
36.2, 2.484, 100, 2 2 1
37.1, 2.422, 15, 3 1 1
44.1, 2.055, 13, 4 1 1
45.4, 1.998, 22, 0 0 2
47.2, 1.925, 24, 5 0 1
50.6, 1.806, 15, 4 3 0

Structure:
a = 12.6817 Å, b = 12.6817 Å, c = 3.9959 Å
α = 90.00°, β = 90.00°, γ = 120.00°
Space group P-62m (No. 189)
Unique sites:
Ca  0.0000  0.1824  0.0000 [3 per cell]
Ca  0.3333  0.6667  0.5000 [2 per cell]
P  0.0000  0.3580  0.5000 [3 per cell]
P  0.0000  0.8197  0.5000 [3 per cell]
P  0.1731  0.6887  0.0000 [6 per cell]
Ir  0.0000  0.0000  0.5000 [1 per cell]
Ir  0.0000  0.5386  0.5000 [3 per cell]
Ir  0.0000  0.7125  0.0000 [3 per cell]
Ir  0.1304  0.4918  0.0000 [6 per cell]
Ir  0.1807  0.8025  0.5000 [6 per cell]

(4)
# Ca2P7Ir12
Simulated XRD peak list, Cu Kα X-rays. Input: a PBE-relaxed structure.

Main lines, low angle first (2θ from 10° to 90°):
2theta, d (Å), intensity, h k l
18.5, 4.797, 21, 1 1 0
28.4, 3.140, 19, 1 2 0
36.5, 2.459, 100, 1 2 1
45.6, 1.991, 17, 4 -3 1
45.9, 1.976, 17, 0 0 2
47.7, 1.906, 18, 2 3 0
50.3, 1.813, 20, 4 1 0
68.4, 1.372, 11, 5 -2 2
70.5, 1.336, 14, 4 1 2
85.4, 1.137, 12, 3 5 1

Structure:
a = 9.5942 Å, b = 9.5942 Å, c = 3.9522 Å
α = 90.00°, β = 90.00°, γ = 120.00°
Space group P-3 (No. 147)
Unique sites:
Ca  0.3333  0.6667  0.2484 [2 per cell]
P  0.0000  0.0000  0.0000 [1 per cell]
P  0.1248  0.4105  0.7441 [6 per cell]
Ir  0.0654  0.6164  0.7513 [6 per cell]
Ir  0.1041  0.8432  0.2560 [6 per cell]

(5)
# Ca3P3Ir2
Simulated XRD peak list, Cu Kα X-rays. Input: a PBE-relaxed structure.

Main lines, low angle first (2θ from 10° to 90°):
2theta, d (Å), intensity, h k l
16.5, 5.388, 100, 0 2 0
23.6, 3.763, 48, 1 1 1
29.8, 2.997, 71, 1 1 3
33.5, 2.677, 40, 1 3 1
38.2, 2.355, 46, 1 3 3
38.6, 2.334, 60, 0 4 3
42.0, 2.152, 35, 1 3 4
43.2, 2.095, 29, 2 0 0
51.3, 1.782, 29, 1 1 7
59.3, 1.559, 34, 2 4 3

Structure:
a = 4.191 Å, b = 10.776 Å, c = 14.015 Å
α = 90.00°, β = 90.00°, γ = 90.00°
Space group Cmcm (No. 63)
Unique sites:
Ca  0.000  0.080  0.109 [8 per cell]
Ca  0.000  0.365  0.250 [4 per cell]
P  0.000  0.327  0.750 [4 per cell]
P  0.000  0.349  0.038 [8 per cell]
Ir  0.000  0.208  0.601 [8 per cell]

(6)
# Ca4P7Ir8
Simulated XRD peak list, Cu Kα X-rays. Input: a PBE-relaxed structure.

Main lines, low angle first (2θ from 10° to 90°):
2theta, d (Å), intensity, h k l
20.6, 4.310, 100, 1 0 -3
21.3, 4.163, 76, 3 0 0
30.6, 2.921, 98, 1 1 -3
31.0, 2.883, 97, 2 1 2
31.1, 2.873, 100, 3 1 -1
35.2, 2.551, 75, 2 1 3
36.4, 2.469, 95, 4 1 -1
45.7, 1.987, 90, 0 2 0
48.1, 1.892, 56, 5 1 -4
50.9, 1.793, 56, 7 0 -2

Structure:
a = 12.648 Å, b = 3.973 Å, c = 13.169 Å
α = 90.00°, β = 98.96°, γ = 90.00°
Space group P2_1/m (No. 11)
Unique sites:
Ca  0.015  0.250  0.208 [2 per cell]
Ca  0.217  0.750  0.606 [2 per cell]
Ca  0.286  0.750  0.934 [2 per cell]
Ca  0.397  0.750  0.292 [2 per cell]
P  0.028  0.250  0.628 [2 per cell]
P  0.110  0.250  0.938 [2 per cell]
P  0.191  0.750  0.189 [2 per cell]
P  0.242  0.250  0.421 [2 per cell]
P  0.344  0.250  0.781 [2 per cell]
P  0.409  0.250  0.088 [2 per cell]
P  0.444  0.750  0.600 [2 per cell]
Ir  0.054  0.250  0.452 [2 per cell]
Ir  0.077  0.750  0.027 [2 per cell]
Ir  0.161  0.750  0.359 [2 per cell]
Ir  0.162  0.250  0.773 [2 per cell]
Ir  0.229  0.250  0.105 [2 per cell]
Ir  0.417  0.250  0.501 [2 per cell]
Ir  0.438  0.750  0.774 [2 per cell]
Ir  0.485  0.250  0.925 [2 per cell]

(7)
# Ca2P7Ir12
Simulated XRD peak list, Cu Kα X-rays. Input: a PBE-relaxed structure.

Main lines, low angle first (2θ from 10° to 90°):
2theta, d (Å), intensity, h k l
18.4, 4.833, 23, 1 1 0
28.2, 3.164, 19, 2 1 0
36.5, 2.460, 100, 2 1 1
45.4, 1.996, 17, 1 3 1
46.4, 1.955, 18, 0 0 2
47.3, 1.920, 19, 3 2 0
49.4, 1.845, 13, 4 0 1
49.9, 1.827, 19, 1 4 0
68.5, 1.370, 13, 3 2 2
70.6, 1.335, 14, 1 4 2

Structure:
a = 9.6657 Å, b = 9.6657 Å, c = 3.9102 Å
α = 90.00°, β = 90.00°, γ = 120.00°
Space group P-6 (No. 174)
Unique sites:
Ca  0.0000  0.0000  0.0000 [1 per cell]
Ca  0.3333  0.6667  0.5000 [1 per cell]
P  0.0768  0.4602  0.0000 [3 per cell]
P  0.2573  0.2111  0.5000 [3 per cell]
P  0.6667  0.3333  0.0000 [1 per cell]
Ir  0.0495  0.2646  0.5000 [3 per cell]
Ir  0.1182  0.7203  0.0000 [3 per cell]
Ir  0.3997  0.1746  0.0000 [3 per cell]
Ir  0.5092  0.4457  0.5000 [3 per cell]

(8)
# CaPaP2Ir5
Simulated XRD peak list, Cu Kα X-rays. Input: a PBE-relaxed structure.

Main lines, low angle first (2θ from 10° to 90°):
2theta, d (Å), intensity, h k l
23.5, 3.778, 49, 0 0 3
31.6, 2.832, 24, 0 0 4
32.7, 2.742, 40, 1 1 1
35.5, 2.529, 100, 1 1 2
45.4, 1.998, 38, 2 0 0
51.7, 1.767, 68, 1 1 5
56.3, 1.633, 16, 2 0 4
66.1, 1.413, 12, 2 2 0
77.4, 1.233, 22, 3 1 2
88.6, 1.104, 20, 3 1 5

Structure:
a = 3.996 Å, b = 3.996 Å, c = 11.334 Å
α = 90.00°, β = 90.00°, γ = 90.00°
Space group P4/mmm (No. 123)
Unique sites:
Ca  0.000  0.000  0.000 [1 per cell]
Pa  0.000  0.000  0.500 [1 per cell]
P  0.500  0.500  0.297 [2 per cell]
Ir  0.000  0.500  0.206 [4 per cell]
Ir  0.500  0.500  0.500 [1 per cell]

(9)
# CaP2IrRh
Simulated XRD peak list, Cu Kα X-rays. Input: a PBE-relaxed structure.

Main lines, low angle first (2θ from 10° to 90°):
2theta, d (Å), intensity, h k l
11.5, 7.679, 100, 0 0 1
20.9, 4.255, 55, 2 0 -2
30.2, 2.962, 29, 2 0 -3
32.2, 2.784, 58, 3 1 -1
34.9, 2.572, 17, 3 1 0
36.6, 2.454, 59, 1 1 2
43.1, 2.099, 21, 4 0 1
45.3, 2.003, 22, 0 2 0
46.9, 1.937, 35, 5 1 -3
49.2, 1.852, 17, 1 1 -4

Structure:
a = 11.646 Å, b = 4.006 Å, c = 8.886 Å
α = 90.00°, β = 120.21°, γ = 90.00°
Space group C2/m (No. 12)
Unique sites:
Ca  0.195  0.000  0.154 [4 per cell]
P  0.047  0.500  0.862 [4 per cell]
P  0.139  0.000  0.555 [4 per cell]
Ir  0.151  0.500  0.417 [4 per cell]
Rh  0.044  0.000  0.732 [4 per cell]

(10)
# Ca8Ir2Pb
Simulated XRD peak list, Cu Kα X-rays. Input: a PBE-relaxed structure.

Main lines, low angle first (2θ from 10° to 90°):
2theta, d (Å), intensity, h k l
14.9, 5.940, 100, 1 1 -1
20.6, 4.315, 72, 0 2 1
22.7, 3.911, 47, 1 3 0
23.4, 3.796, 58, 2 2 -1
30.0, 2.981, 44, 3 1 -1
32.2, 2.784, 34, 0 0 2
33.7, 2.657, 43, 1 3 -2
37.4, 2.404, 40, 3 3 -2
37.6, 2.390, 35, 2 2 1
40.6, 2.223, 34, 3 3 0

Structure:
a = 9.235 Å, b = 13.659 Å, c = 6.729 Å
α = 90.00°, β = 124.18°, γ = 90.00°
Space group C2 (No. 5)
Unique sites:
Ca  0.101  0.000  0.305 [4 per cell]
Ca  0.157  0.367  0.908 [4 per cell]
Ca  0.204  0.640  0.018 [4 per cell]
Ca  0.213  0.749  0.515 [4 per cell]
Ir  0.000  0.192  0.000 [2 per cell]
Ir  0.000  0.816  0.000 [2 per cell]
Pb  0.000  0.541  0.500 [2 per cell]

(11)
# CaPuIrPb
Simulated XRD peak list, Cu Kα X-rays. Input: a PBE-relaxed structure.

Main lines, low angle first (2θ from 10° to 90°):
2theta, d (Å), intensity, h k l
10.1, 8.780, 44, 0 0 1
20.2, 4.390, 11, 0 0 2
28.4, 3.137, 15, 1 0 1
33.6, 2.668, 100, 1 0 2
37.9, 2.375, 42, 1 1 0
40.9, 2.207, 10, 1 0 3
49.6, 1.838, 13, 1 0 4
54.6, 1.680, 15, 2 0 0
57.1, 1.612, 14, 1 1 4
65.7, 1.421, 30, 2 1 2

Structure:
a = 3.359 Å, b = 3.359 Å, c = 8.780 Å
α = 90.00°, β = 90.00°, γ = 90.00°
Space group P4mm (No. 99)
Unique sites:
Ca  0.000  0.000  0.000 [1 per cell]
Pu  0.000  0.000  0.596 [1 per cell]
Ir  0.500  0.500  0.781 [1 per cell]
Pb  0.500  0.500  0.296 [1 per cell]

(12)
# CaPm2Ir
Simulated XRD peak list, Cu Kα X-rays. Input: a PBE-relaxed structure.

Main lines, low angle first (2θ from 10° to 90°):
2theta, d (Å), intensity, h k l
14.8, 5.993, 42, 0 0 2
15.6, 5.683, 57, 0 1 1
24.0, 3.713, 32, 1 1 2
29.2, 3.055, 100, 1 1 3
30.1, 2.966, 17, 2 1 1
38.1, 2.363, 74, 2 2 0
45.2, 2.005, 33, 3 0 3
45.4, 1.997, 16, 0 0 6
49.9, 1.828, 22, 1 3 3
60.7, 1.526, 15, 2 2 6

Structure:
a = 6.954 Å, b = 6.455 Å, c = 11.981 Å
α = 90.00°, β = 90.00°, γ = 90.00°
Space group Pnna (No. 52)
Unique sites:
Ca  0.068  0.250  0.250 [4 per cell]
Pm  0.082  0.238  0.582 [8 per cell]
Ir  0.250  0.000  0.415 [4 per cell]